# 1
The following is a simulated XRD peak list of PrSm2YTm2. It was derived from a DFT-relaxed cell (GGA-PBE, Alexandria), using Cu Kα, 1.54184 Å.

Atomic structure:
Cell: 6.976 16.303 3.524 Å, 90.00 90.00 90.00°
Space group Pnnm (No. 58)
Inequivalent atoms, fractional coordinates:
Pr 0.000 0.000 0.000 x2
Sm 0.247 0.338 0.000 x4
Y 0.000 0.500 0.500 x2
Tm 0.248 0.154 0.500 x4

The 10 most intense peaks (10 to 80 degrees two-theta), most intense first:
- 2θ = 30.23°, I 100
- 2θ = 36.67°, I 55
- 2θ = 33.82°, I 45
- 2θ = 27.82°, I 39
- 2θ = 32.96°, I 37
- 2θ = 54.03°, I 29
- 2θ = 61.76°, I 26
- 2θ = 63.39°, I 26
- 2θ = 62.90°, I 22
- 2θ = 39.98°, I 20

# 2
The following is a simulated XRD peak list of PrSmY2Tm2. It was derived from a DFT-relaxed cell (GGA-PBE, Alexandria), using Cu Kα, 1.54184 Å.

Atomic structure:
Cell: 6.529 17.960 3.420 Å, 90.00 90.00 90.00°
Space group Pnnm (No. 58)
Inequivalent atoms, fractional coordinates:
Pr 0.000 0.000 0.000 x2
Sm 0.000 0.500 0.000 x2
Y 0.220 0.189 0.000 x4
Tm 0.218 0.352 0.500 x4

The 10 most intense peaks (10 to 80 degrees two-theta), most intense first:
- 2θ = 29.11°, I 100
- 2θ = 29.85°, I 91
- 2θ = 30.10°, I 88
- 2θ = 33.95°, I 80
- 2θ = 41.09°, I 60
- 2θ = 35.76°, I 56
- 2θ = 31.16°, I 55
- 2θ = 16.79°, I 53
- 2θ = 32.92°, I 35
- 2θ = 26.53°, I 35

# 3
The following is a simulated XRD peak list of Pr2SmY3Tm6. It was derived from a DFT-relaxed cell (GGA-PBE, Alexandria), using Cu Kα, 1.54184 Å.

Atomic structure:
Cell: 6.178 10.691 11.741 Å, 90.00 100.07 90.00°
Space group C2/m (No. 12)
Inequivalent atoms, fractional coordinates:
Pr 0.000 0.167 0.000 x4
Sm 0.000 0.500 0.000 x2
Y 0.000 0.000 0.500 x2
Y 0.000 0.333 0.500 x4
Tm 0.248 0.500 0.747 x4
Tm 0.249 0.166 0.747 x8

The 10 most intense peaks (10 to 80 degrees two-theta), most intense first:
- 2θ = 30.74°, I 100
- 2θ = 35.70°, I 67
- 2θ = 30.94°, I 33
- 2θ = 61.08°, I 28
- 2θ = 51.25°, I 24
- 2θ = 51.51°, I 23
- 2θ = 60.96°, I 14
- 2θ = 61.32°, I 14
- 2θ = 64.02°, I 12
- 2θ = 75.62°, I 8

# 4
The following is a simulated XRD peak list of Pr7Sm2Y2. It was derived from a DFT-relaxed cell (GGA-PBE, Alexandria), using Cu Kα, 1.54184 Å.

Atomic structure:
Cell: 10.137 9.608 8.412 Å, 90.00 105.52 90.00°
Space group C2/m (No. 12)
Inequivalent atoms, fractional coordinates:
Pr 0.000 0.000 0.000 x2
Pr 0.200 0.297 0.177 x8
Pr 0.219 0.500 0.528 x4
Sm 0.080 0.500 0.823 x4
Y 0.000 0.208 0.500 x4

The 10 most intense peaks (10 to 80 degrees two-theta), most intense first:
- 2θ = 30.17°, I 100
- 2θ = 30.86°, I 54
- 2θ = 30.50°, I 39
- 2θ = 33.16°, I 30
- 2θ = 31.70°, I 23
- 2θ = 35.43°, I 22
- 2θ = 33.30°, I 20
- 2θ = 37.44°, I 19
- 2θ = 28.96°, I 14
- 2θ = 27.60°, I 14

# 5
The following is a simulated XRD peak list of Pr3Sm12Y. It was derived from a DFT-relaxed cell (GGA-PBE, Alexandria), using Cu Kα, 1.54184 Å.

Atomic structure:
Cell: 5.150 5.150 20.593 Å, 90.00 90.00 90.00°
Space group P4/mmm (No. 123)
Inequivalent atoms, fractional coordinates:
Pr 0.000 0.000 0.000 x1
Pr 0.000 0.000 0.251 x2
Sm 0.000 0.500 0.125 x4
Sm 0.000 0.500 0.376 x4
Sm 0.500 0.500 0.000 x1
Sm 0.500 0.500 0.251 x2
Sm 0.500 0.500 0.500 x1
Y 0.000 0.000 0.500 x1

The 6 most intense peaks (10 to 80 degrees two-theta), most intense first:
- 2θ = 30.06°, I 100
- 2θ = 34.84°, I 51
- 2θ = 59.54°, I 43
- 2θ = 50.10°, I 36
- 2θ = 62.48°, I 12
- 2θ = 73.57°, I 6

# 6
The following is a simulated XRD peak list of Pr3Sm6Y. It was derived from a DFT-relaxed cell (GGA-PBE, Alexandria), using Cu Kα, 1.54184 Å.

Atomic structure:
Cell: 10.990 19.321 6.531 Å, 90.00 90.00 90.00°
Space group Cmc2_1 (No. 36)
Inequivalent atoms, fractional coordinates:
Pr 0.000 0.114 0.000 x4
Pr 0.176 0.384 0.611 x8
Sm 0.000 0.225 0.425 x4
Sm 0.000 0.468 0.224 x4
Sm 0.172 0.044 0.524 x8
Sm 0.232 0.210 0.714 x8
Y 0.000 0.313 0.967 x4

The 10 most intense peaks (10 to 80 degrees two-theta), most intense first:
- 2θ = 30.96°, I 100
- 2θ = 33.24°, I 65
- 2θ = 31.25°, I 65
- 2θ = 28.14°, I 53
- 2θ = 28.03°, I 50
- 2θ = 28.31°, I 41
- 2θ = 28.89°, I 35
- 2θ = 31.86°, I 30
- 2θ = 57.21°, I 27
- 2θ = 33.71°, I 24

# 7
The following is a simulated XRD peak list of PrSm4Y4. It was derived from a DFT-relaxed cell (GGA-PBE, Alexandria), using Cu Kα, 1.54184 Å.

Atomic structure:
Cell: 5.117 10.827 11.416 Å, 71.50 89.96 89.88°
Space group P-1 (No. 2)
Inequivalent atoms, fractional coordinates:
Pr 0.250 0.222 0.083 x2
Sm 0.250 0.001 0.749 x2
Sm 0.250 0.111 0.418 x2
Sm 0.250 0.335 0.748 x2
Sm 0.250 0.555 0.085 x2
Y 0.250 0.444 0.418 x2
Y 0.250 0.666 0.749 x2
Y 0.250 0.777 0.417 x2
Y 0.250 0.888 0.085 x2

The 10 most intense peaks (10 to 80 degrees two-theta), most intense first:
- 2θ = 30.31°, I 100
- 2θ = 35.11°, I 34
- 2θ = 50.57°, I 24
- 2θ = 60.13°, I 21
- 2θ = 60.03°, I 18
- 2θ = 35.19°, I 17
- 2θ = 50.47°, I 12
- 2θ = 63.02°, I 9
- 2θ = 74.34°, I 4
- 2θ = 59.93°, I 4

# 8
The following is a simulated XRD peak list of Pr6Sm7Y16. It was derived from a DFT-relaxed cell (GGA-PBE, Alexandria), using Cu Kα, 1.54184 Å.

Atomic structure:
Cell: 16.031 16.031 16.031 Å, 90.00 90.00 90.00°
Space group Fm-3m (No. 225)
Inequivalent atoms, fractional coordinates:
Pr 0.000 0.000 0.238 x24
Sm 0.000 0.000 0.500 x4
Sm 0.000 0.250 0.250 x24
Y 0.129 0.129 0.371 x32
Y 0.150 0.150 0.150 x32

The 10 most intense peaks (10 to 80 degrees two-theta), most intense first:
- 2θ = 31.57°, I 100
- 2θ = 56.22°, I 29
- 2θ = 45.25°, I 15
- 2θ = 74.93°, I 9
- 2θ = 65.92°, I 8
- 2θ = 27.25°, I 8
- 2θ = 15.64°, I 7
- 2θ = 35.41°, I 5
- 2θ = 50.95°, I 5
- 2θ = 24.84°, I 5

# 9
The following is a simulated XRD peak list of Pr8Sm3Y. It was derived from a DFT-relaxed cell (GGA-PBE, Alexandria), using Cu Kα, 1.54184 Å.

Atomic structure:
Cell: 16.299 6.440 11.139 Å, 90.00 132.96 90.00°
Space group C2 (No. 5)
Inequivalent atoms, fractional coordinates:
Pr 0.000 0.000 0.166 x4
Pr 0.000 0.499 0.334 x4
Pr 0.249 0.666 0.415 x4
Pr 0.250 0.167 0.916 x4
Sm 0.000 0.995 0.500 x2
Sm 0.249 0.171 0.249 x4
Y 0.000 0.497 0.000 x2

The 10 most intense peaks (10 to 80 degrees two-theta), most intense first:
- 2θ = 31.59°, I 100
- 2θ = 29.96°, I 26
- 2θ = 27.72°, I 23
- 2θ = 49.03°, I 19
- 2θ = 58.51°, I 19
- 2θ = 54.20°, I 15
- 2θ = 59.48°, I 11
- 2θ = 41.25°, I 11
- 2θ = 54.30°, I 7
- 2θ = 59.57°, I 6

# 10
The following is a simulated XRD peak list of Pr9Sm3Y2. It was derived from a DFT-relaxed cell (GGA-PBE, Alexandria), using Cu Kα, 1.54184 Å.

Atomic structure:
Cell: 9.1589 9.1589 14.1982 Å, 90.00 90.00 120.00°
Space group P6_3/m (No. 176)
Inequivalent atoms, fractional coordinates:
Pr 0.0795 0.4807 0.2500 x6
Pr 0.1318 0.7263 0.0427 x12
Sm 0.0805 0.2496 0.7500 x6
Y 0.3333 0.6667 0.6419 x4

The 10 most intense peaks (10 to 80 degrees two-theta), most intense first:
- 2θ = 32.42°, I 100
- 2θ = 30.47°, I 68
- 2θ = 29.38°, I 40
- 2θ = 25.09°, I 31
- 2θ = 52.90°, I 29
- 2θ = 35.44°, I 28
- 2θ = 33.52°, I 22
- 2θ = 52.63°, I 18
- 2θ = 59.41°, I 17
- 2θ = 31.90°, I 15

# 11
The following is a simulated XRD peak list of PrSm2Y7. It was derived from a DFT-relaxed cell (GGA-PBE, Alexandria), using Cu Kα, 1.54184 Å.

Atomic structure:
Cell: 6.231 7.202 8.033 Å, 103.08 97.33 106.72°
Space group P-1 (No. 2)
Inequivalent atoms, fractional coordinates:
Pr 0.000 0.000 0.000 x1
Sm 0.401 0.301 0.800 x2
Y 0.000 0.500 0.000 x1
Y 0.200 0.900 0.402 x2
Y 0.201 0.400 0.400 x2
Y 0.399 0.799 0.799 x2

The 10 most intense peaks (10 to 80 degrees two-theta), most intense first:
- 2θ = 30.44°, I 100
- 2θ = 35.25°, I 34
- 2θ = 60.31°, I 24
- 2θ = 50.73°, I 23
- 2θ = 35.36°, I 17
- 2θ = 50.84°, I 12
- 2θ = 60.42°, I 10
- 2θ = 63.29°, I 6
- 2θ = 63.39°, I 6
- 2θ = 74.55°, I 4

# 12
The following is a simulated XRD peak list of Pr3Sm2Y6. It was derived from a DFT-relaxed cell (GGA-PBE, Alexandria), using Cu Kα, 1.54184 Å.

Atomic structure:
Cell: 6.239 10.833 11.734 Å, 90.00 100.33 90.00°
Space group C2/m (No. 12)
Inequivalent atoms, fractional coordinates:
Pr 0.000 0.000 0.000 x2
Pr 0.000 0.336 0.000 x4
Sm 0.000 0.166 0.500 x4
Y 0.248 0.334 0.747 x8
Y 0.250 0.000 0.747 x4

The 10 most intense peaks (10 to 80 degrees two-theta), most intense first:
- 2θ = 30.42°, I 100
- 2θ = 35.44°, I 66
- 2θ = 30.99°, I 32
- 2θ = 51.36°, I 23
- 2θ = 60.50°, I 18
- 2θ = 50.65°, I 16
- 2θ = 63.31°, I 12
- 2θ = 60.16°, I 9
- 2θ = 60.63°, I 9
- 2θ = 61.16°, I 9